Structure and computed PXRD pattern of Tl4Re (DFT lattice parameters and positions (PBE); Cu Kα).

The 8 most intense peaks (10° ≤ 2θ ≤ 90°), in order of rising 2θ:
hkl 1 1 0, 2θ = 19.5°, intensity 25; hkl 2 0 0, 2θ = 27.7°, intensity 54; hkl 1 1 2, 2θ = 34.1°, intensity 82; hkl 2 2 0, 2θ = 39.5°, intensity 100; hkl 3 1 2, 2θ = 53.2°, intensity 30; hkl 4 1 1, 2θ = 60.9°, intensity 18; hkl 1 1 4, 2θ = 61.1°, intensity 19; hkl 4 2 2, 2θ = 71.7°, intensity 16

Cell and atoms:
```
Tl4Re
1.0
6.450 0.000 0.000
0.000 6.450 0.000
0.000 0.000 6.438
Tl Re
8 2
Direct
0.220 0.223 0.307
0.223 0.780 0.693
0.277 0.280 0.807
0.280 0.723 0.193
0.720 0.277 0.193
0.723 0.720 0.807
0.777 0.220 0.693
0.780 0.777 0.307
0.000 0.000 0.000
0.500 0.500 0.500
```

=====

Structure and computed PXRD pattern of Sm3TmMg4 (DFT lattice parameters and positions (PBE); Cu Kα).

The 8 most intense peaks (10° ≤ 2θ ≤ 90°), in order of rising 2θ:
hkl 1 0 0, 2θ = 23.2°, intensity 21; hkl 0 1 2, 2θ = 23.3°, intensity 41; hkl 1 1 2, 2θ = 33.1°, intensity 100; hkl 1 2 0, 2θ = 40.9°, intensity 19; hkl 0 2 4, 2θ = 47.6°, intensity 12; hkl 1 2 4, 2θ = 53.7°, intensity 18; hkl 2 2 0, 2θ = 59.1°, intensity 13; hkl 1 3 2, 2θ = 59.3°, intensity 25

Cell and atoms:
```
Sm3TmMg4
1.0
3.834 0.000 0.000
0.000 5.395 0.000
0.000 0.000 10.802
Sm Tm Mg
3 1 4
Direct
0.000 0.000 0.000
0.000 0.500 0.251
0.000 0.500 0.749
0.000 0.000 0.500
0.500 0.000 0.254
0.500 0.000 0.746
0.500 0.500 0.000
0.500 0.500 0.500
```

=====

Structure and computed PXRD pattern of AcCe2YSe5 (DFT lattice parameters and positions (PBE); Cu Kα).

The 8 most intense peaks (10° ≤ 2θ ≤ 90°), in order of rising 2θ:
hkl 1 0 1, 2θ = 18.9°, intensity 25; hkl 1 1 0, 2θ = 24.5°, intensity 100; hkl 1 1 3, 2θ = 34.1°, intensity 83; hkl 2 0 0, 2θ = 34.9°, intensity 87; hkl 1 0 4, 2θ = 36.1°, intensity 43; hkl 2 2 0, 2θ = 50.1°, intensity 31; hkl 2 1 4, 2θ = 51.0°, intensity 32; hkl 3 1 3, 2θ = 62.0°, intensity 30

Cell and atoms:
```
AcCe2YSe5
1.0
5.148 0.000 0.000
0.000 5.148 0.000
0.000 0.000 11.380
Ac Ce Y Se
1 2 1 5
Direct
0.000 0.000 0.000
0.500 0.500 0.331
0.500 0.500 0.669
0.000 0.000 0.500
0.000 0.000 0.255
0.000 0.000 0.745
0.000 0.500 0.500
0.500 0.000 0.500
0.500 0.500 0.000
```

=====

Copy entry 3 word for word.
Structure and computed PXRD pattern of AcCe2YSe5 (DFT lattice parameters and positions (PBE); Cu Kα).

The 8 most intense peaks (10° ≤ 2θ ≤ 90°), in order of rising 2θ:
hkl 1 0 1, 2θ = 18.9°, intensity 25; hkl 1 1 0, 2θ = 24.5°, intensity 100; hkl 1 1 3, 2θ = 34.1°, intensity 83; hkl 2 0 0, 2θ = 34.9°, intensity 87; hkl 1 0 4, 2θ = 36.1°, intensity 43; hkl 2 2 0, 2θ = 50.1°, intensity 31; hkl 2 1 4, 2θ = 51.0°, intensity 32; hkl 3 1 3, 2θ = 62.0°, intensity 30

Cell and atoms:
```
AcCe2YSe5
1.0
5.148 0.000 0.000
0.000 5.148 0.000
0.000 0.000 11.380
Ac Ce Y Se
1 2 1 5
Direct
0.000 0.000 0.000
0.500 0.500 0.331
0.500 0.500 0.669
0.000 0.000 0.500
0.000 0.000 0.255
0.000 0.000 0.745
0.000 0.500 0.500
0.500 0.000 0.500
0.500 0.500 0.000
```